1.
SmDy2Cd2: computed powder X-ray diffraction pattern (a wavelength of 1.5418 Å), based on a structure optimized by DFT (GGA-PBE).
Neutral-atom scattering factors, no anomalous dispersion.

Most intense lines, 2θ from 10° to 90°, in order of rising 2θ:
d (Å)  I/Imax
2.761  22.6
2.701  26.9
2.686  100.0
1.931  15.9
1.869  9.1
1.579  12.1
1.556  18.8
1.548  7.7
1.537  9.5
1.343  9.5

Cell and atoms:
a b c (Å): 3.7375 5.4013 13.9330
angles (deg): 90.00 97.72 90.00
Atoms (fractional coordinates):
1 Sm 0.1494 0.2500 0.2968
2 Sm 0.8506 0.7500 0.7032
3 Dy 0.0465 0.7500 0.0921
4 Dy 0.2359 0.7500 0.4726
5 Dy 0.7641 0.2500 0.5274
6 Dy 0.9535 0.2500 0.9079
7 Cd 0.3585 0.2500 0.7176
8 Cd 0.4505 0.7500 0.9014
9 Cd 0.5495 0.2500 0.0986
10 Cd 0.6415 0.7500 0.2824

---

2.
Y10Bi4C3: computed powder X-ray diffraction pattern (a wavelength of 1.5418 Å), based on a structure optimized by DFT (GGA-PBE).
Neutral-atom scattering factors, no anomalous dispersion.

Most intense lines, 2θ from 10° to 90°, in order of rising 2θ:
d (Å)  I/Imax
3.535  18.2
3.469  20.5
2.997  32.2
2.739  100.0
2.550  21.0
2.453  56.1
1.768  27.7
1.734  19.5
1.470  20.4
1.465  29.7

Cell and atoms:
a b c (Å): 18.1825 18.1825 18.1825
angles (deg): 164.49 164.49 22.00
Atoms (fractional coordinates):
1 Y 0.0000 0.5000 0.5000
2 Y 0.0690 0.0690 0.0000
3 Y 0.1370 0.6370 0.5000
4 Y 0.2069 0.2069 0.0000
5 Y 0.3630 0.8630 0.5000
6 Y 0.5000 0.0000 0.5000
7 Y 0.6370 0.1370 0.5000
8 Y 0.7931 0.7931 0.0000
9 Y 0.8630 0.3630 0.5000
10 Y 0.9310 0.9310 0.0000
11 Bi 0.2980 0.2980 0.0000
12 Bi 0.4312 0.4312 0.0000
13 Bi 0.5688 0.5688 0.0000
14 Bi 0.7020 0.7020 0.0000
15 C 0.0000 0.0000 0.0000
16 C 0.1398 0.1398 0.0000
17 C 0.8602 0.8602 0.0000

---

3.
PrHo2ErAg4: computed powder X-ray diffraction pattern (a wavelength of 1.5418 Å), based on a structure optimized by DFT (GGA-PBE).
Neutral-atom scattering factors, no anomalous dispersion.

Most intense lines, 2θ from 10° to 90°, in order of rising 2θ:
d (Å)  I/Imax
2.597  99.9
2.581  100.0
1.831  34.9
1.503  17.1
1.493  35.3
1.490  17.9
1.299  10.4
1.291  11.0
1.160  14.7
1.156  15.4

Cell and atoms:
a b c (Å): 9.0170 9.0170 9.0170
angles (deg): 33.27 33.27 33.27
Atoms (fractional coordinates):
1 Pr 0.0000 0.0000 0.0000
2 Ho 0.2483 0.2483 0.2483
3 Ho 0.7517 0.7517 0.7517
4 Er 0.5000 0.5000 0.5000
5 Ag 0.1274 0.1274 0.1274
6 Ag 0.3801 0.3801 0.3801
7 Ag 0.6199 0.6199 0.6199
8 Ag 0.8726 0.8726 0.8726

---

4.
PmThCoIr: computed powder X-ray diffraction pattern (a wavelength of 1.5418 Å), based on a structure optimized by DFT (GGA-PBE).
Neutral-atom scattering factors, no anomalous dispersion.

Most intense lines, 2θ from 10° to 90°, in order of rising 2θ:
d (Å)  I/Imax
4.051  12.9
3.508  4.5
2.481  100.0
2.116  7.3
1.754  17.8
1.610  3.3
1.432  36.4
1.240  11.4
1.186  2.6
1.109  16.6

Cell and atoms:
a b c (Å): 4.9617 4.9617 4.9617
angles (deg): 60.00 60.00 60.00
Atoms (fractional coordinates):
1 Pm 0.0000 0.0000 0.0000
2 Th 0.5000 0.5000 0.5000
3 Co 0.2500 0.2500 0.2500
4 Ir 0.7500 0.7500 0.7500

---

5.
Mn4Nb3V: computed powder X-ray diffraction pattern (a wavelength of 1.5418 Å), based on a structure optimized by DFT (GGA-PBE).
Neutral-atom scattering factors, no anomalous dispersion.

Most intense lines, 2θ from 10° to 90°, in order of rising 2θ:
d (Å)  I/Imax
3.026  5.5
2.935  1.0
2.706  1.2
2.421  2.4
2.140  100.0
1.747  1.6
1.513  15.4
1.353  2.2
1.345  1.2
1.235  29.6

Cell and atoms:
a b c (Å): 3.0250 3.0250 12.1112
angles (deg): 90.00 90.00 90.00
Atoms (fractional coordinates):
1 Mn 0.0000 0.0000 0.1156
2 Mn 0.0000 0.0000 0.3721
3 Mn 0.0000 0.0000 0.6279
4 Mn 0.0000 0.0000 0.8844
5 Nb 0.5000 0.5000 0.2442
6 Nb 0.5000 0.5000 0.5000
7 Nb 0.5000 0.5000 0.7558
8 V 0.5000 0.5000 0.0000

---

6.
AcErSe3: computed powder X-ray diffraction pattern (a wavelength of 1.5418 Å), based on a structure optimized by DFT (GGA-PBE).
Neutral-atom scattering factors, no anomalous dispersion.

Most intense lines, 2θ from 10° to 90°, in order of rising 2θ:
d (Å)  I/Imax
4.416  18.2
4.190  30.0
3.689  30.3
3.515  17.1
2.899  24.2
2.820  100.0
2.526  20.3
2.485  24.5
2.390  21.6
2.112  31.1

Cell and atoms:
a b c (Å): 8.7088 4.2240 15.3696
angles (deg): 90.00 90.00 90.00
Atoms (fractional coordinates):
1 Ac 0.1290 0.2500 0.1935
2 Ac 0.3710 0.7500 0.6935
3 Ac 0.6290 0.2500 0.3065
4 Ac 0.8710 0.7500 0.8065
5 Er 0.1841 0.7500 0.4554
6 Er 0.3159 0.2500 0.9554
7 Er 0.6841 0.7500 0.0446
8 Er 0.8159 0.2500 0.5446
9 Se 0.0013 0.7500 0.6115
10 Se 0.1582 0.7500 0.0421
11 Se 0.1592 0.2500 0.7933
12 Se 0.3408 0.7500 0.2933
13 Se 0.3418 0.2500 0.5421
14 Se 0.4987 0.2500 0.1114
15 Se 0.5013 0.7500 0.8886
16 Se 0.6582 0.7500 0.4579
17 Se 0.6592 0.2500 0.7067
18 Se 0.8408 0.7500 0.2067
19 Se 0.8418 0.2500 0.9579
20 Se 0.9987 0.2500 0.3886

---

7.
La2SmCo2: computed powder X-ray diffraction pattern (a wavelength of 1.5418 Å), based on a structure optimized by DFT (GGA-PBE).
Neutral-atom scattering factors, no anomalous dispersion.

Most intense lines, 2θ from 10° to 90°, in order of rising 2θ:
d (Å)  I/Imax
3.141  75.0
2.979  67.3
2.826  100.0
2.743  55.8
2.396  42.2
2.345  34.3
2.085  24.9
1.926  27.3
1.642  23.1
1.553  28.3

Cell and atoms:
a b c (Å): 6.2608 6.2608 6.2888
angles (deg): 116.66 116.66 35.83
Atoms (fractional coordinates):
1 La 0.1829 0.1829 0.1698
2 La 0.8171 0.8171 0.8302
3 Sm 0.0000 0.0000 0.5000
4 Co 0.4522 0.4522 0.1305
5 Co 0.5478 0.5478 0.8695

---

8.
Pr12Y5Er: computed powder X-ray diffraction pattern (a wavelength of 1.5418 Å), based on a structure optimized by DFT (GGA-PBE).
Neutral-atom scattering factors, no anomalous dispersion.

Most intense lines, 2θ from 10° to 90°, in order of rising 2θ:
d (Å)  I/Imax
2.994  100.0
2.599  33.9
2.582  16.6
1.838  12.1
1.832  23.9
1.566  28.7
1.559  14.1
1.497  12.3
1.192  5.8
1.189  8.6

Cell and atoms:
a b c (Å): 10.9827 5.1974 10.9984
angles (deg): 90.00 90.36 90.00
Atoms (fractional coordinates):
1 Pr 0.0010 0.0000 0.1675
2 Pr 0.1656 0.5000 0.6658
3 Pr 0.1687 0.5000 0.0010
4 Pr 0.3324 0.0000 0.4992
5 Pr 0.3354 0.0000 0.8353
6 Pr 0.4988 0.5000 0.3314
7 Pr 0.5012 0.5000 0.6686
8 Pr 0.6646 0.0000 0.1647
9 Pr 0.6676 0.0000 0.5008
10 Pr 0.8313 0.5000 0.9990
11 Pr 0.8344 0.5000 0.3342
12 Pr 0.9990 0.0000 0.8325
13 Y 0.0000 0.0000 0.5000
14 Y 0.1665 0.5000 0.3335
15 Y 0.3337 0.0000 0.1663
16 Y 0.6663 0.0000 0.8337
17 Y 0.8335 0.5000 0.6665
18 Er 0.5000 0.5000 0.0000

---

9.
Rb2MgI3Br: computed powder X-ray diffraction pattern (a wavelength of 1.5418 Å), based on a structure optimized by DFT (GGA-PBE).
Neutral-atom scattering factors, no anomalous dispersion.

Most intense lines, 2θ from 10° to 90°, in order of rising 2θ:
d (Å)  I/Imax
3.987  23.3
3.662  64.5
3.085  32.8
3.021  100.0
2.930  38.5
2.720  31.4
2.124  22.5
2.041  19.9
1.993  25.0
1.674  21.1

Cell and atoms:
a b c (Å): 10.0828 10.0828 10.0828
angles (deg): 148.70 146.22 46.72
Atoms (fractional coordinates):
1 Rb 0.1398 0.1398 0.0000
2 Rb 0.8602 0.8602 0.0000
3 Mg 0.5000 0.5000 0.0000
4 I 0.0000 0.5000 0.5000
5 I 0.3411 0.3411 0.0000
6 I 0.6589 0.6589 0.0000
7 Br 0.5000 0.0000 0.5000

---

10.
NaMgHg: computed powder X-ray diffraction pattern (a wavelength of 1.5418 Å), based on a structure optimized by DFT (GGA-PBE).
Neutral-atom scattering factors, no anomalous dispersion.

Most intense lines, 2θ from 10° to 90°, in order of rising 2θ:
d (Å)  I/Imax
6.038  99.7
3.400  90.1
2.659  100.0
2.505  44.1
2.314  38.8
1.996  29.5
1.928  18.1
1.570  38.7
1.474  32.8
1.325  16.0

Cell and atoms:
a b c (Å): 6.5369 6.5369 6.5369
angles (deg): 148.55 148.55 45.07
Atoms (fractional coordinates):
1 Na 0.0000 0.0000 0.0000
2 Mg 0.3004 0.3004 0.0000
3 Hg 0.6687 0.6687 0.0000

---

11.
PmZn6: computed powder X-ray diffraction pattern (a wavelength of 1.5418 Å), based on a structure optimized by DFT (GGA-PBE).
Neutral-atom scattering factors, no anomalous dispersion.

Most intense lines, 2θ from 10° to 90°, in order of rising 2θ:
d (Å)  I/Imax
2.604  32.0
2.543  63.1
2.462  100.0
2.430  94.3
2.339  27.5
2.233  24.0
2.186  25.9
2.079  28.6
2.067  24.4
2.040  35.8

Cell and atoms:
a b c (Å): 8.6880 5.2075 10.6380
angles (deg): 90.00 90.00 90.00
Atoms (fractional coordinates):
1 Pm 0.2380 0.2500 0.0590
2 Pm 0.2620 0.7500 0.5590
3 Pm 0.7380 0.2500 0.4410
4 Pm 0.7620 0.7500 0.9410
5 Zn 0.0529 0.7500 0.0924
6 Zn 0.0628 0.0113 0.3074
7 Zn 0.0628 0.4887 0.3074
8 Zn 0.0832 0.2500 0.5206
9 Zn 0.1402 0.7500 0.8549
10 Zn 0.1974 0.2500 0.7503
11 Zn 0.3026 0.7500 0.2503
12 Zn 0.3598 0.2500 0.3549
13 Zn 0.4168 0.7500 0.0206
14 Zn 0.4372 0.5113 0.8074
15 Zn 0.4372 0.9887 0.8074
16 Zn 0.4471 0.2500 0.5924
17 Zn 0.5529 0.7500 0.4076
18 Zn 0.5628 0.0113 0.1926
19 Zn 0.5628 0.4887 0.1926
20 Zn 0.5832 0.2500 0.9794
21 Zn 0.6402 0.7500 0.6451
22 Zn 0.6974 0.2500 0.7497
23 Zn 0.8026 0.7500 0.2497
24 Zn 0.8598 0.2500 0.1451
25 Zn 0.9168 0.7500 0.4794
26 Zn 0.9372 0.5113 0.6926
27 Zn 0.9372 0.9887 0.6926
28 Zn 0.9471 0.2500 0.9076

---

12.
ThTi2H8: computed powder X-ray diffraction pattern (a wavelength of 1.5418 Å), based on a structure optimized by DFT (GGA-PBE).
Neutral-atom scattering factors, no anomalous dispersion.

Most intense lines, 2θ from 10° to 90°, in order of rising 2θ:
d (Å)  I/Imax
4.362  82.0
3.395  90.7
2.703  24.0
2.679  100.0
2.298  32.3
2.181  26.0
1.835  33.1
1.697  26.2
1.582  20.6
1.337  22.6

Cell and atoms:
a b c (Å): 4.3619 4.3619 5.4057
angles (deg): 90.00 90.00 90.00
Atoms (fractional coordinates):
1 Th 0.0000 0.0000 0.0000
2 Ti 0.0000 0.5000 0.5000
3 Ti 0.5000 0.0000 0.5000
4 H 0.2636 0.2636 0.2933
5 H 0.2636 0.2636 0.7067
6 H 0.2636 0.7364 0.2933
7 H 0.2636 0.7364 0.7067
8 H 0.7364 0.2636 0.2933
9 H 0.7364 0.2636 0.7067
10 H 0.7364 0.7364 0.2933
11 H 0.7364 0.7364 0.7067